(1)
Al2GaN3: theoretical X-ray diffraction stick pattern (λ = 1.5418 Å (Cu Kα)), based on a PBE-relaxed structure.

Structural model:
abc: 11.5663 3.1548 7.4710
angles: 90.00 104.83 90.00
Space group Cm (No. 8)
Inequivalent atoms, fractional coordinates:
Al  0.0000  0.0000  0.0000 (multiplicity 2)
Al  0.0549  0.0000  0.6122 (multiplicity 2)
Al  0.1656  0.5000  0.3358 (multiplicity 2)
Al  0.3336  0.0000  0.6679 (multiplicity 2)
Ga  0.2208  0.5000  0.9449 (multiplicity 2)
Ga  0.3888  0.0000  0.2811 (multiplicity 2)
N  0.0431  0.5000  0.4664 (multiplicity 2)
N  0.0924  0.5000  0.0759 (multiplicity 2)
N  0.2058  0.0000  0.7872 (multiplicity 2)
N  0.2588  0.0000  0.4083 (multiplicity 2)
N  0.3759  0.5000  0.1246 (multiplicity 2)
N  0.4290  0.5000  0.7385 (multiplicity 2)

Top 6 peaks for 15 to 90 degrees two-theta, in order of falling intensity:
37.35°, 2.408 Å, I 100.0, hkl 4 0 1; 32.78°, 2.732 Å, I 73.4, hkl 2 0 2; 35.22°, 2.549 Å, I 42.2, hkl 4 0 -2; 58.52°, 1.577 Å, I 39.2, hkl 0 2 0; 64.60°, 1.443 Å, I 38.4, hkl 8 0 -1; 48.87°, 1.864 Å, I 34.6, hkl 6 0 0

=====

(2)
Co2Mo3N: theoretical X-ray diffraction stick pattern (λ = 1.5418 Å (Cu Kα)), based on a PBE-relaxed structure.

Structural model:
abc: 6.6679 6.6679 6.6679
angles: 90.00 90.00 90.00
Space group P4_132 (No. 213)
Inequivalent atoms, fractional coordinates:
Co  0.0690  0.0690  0.0690 (multiplicity 8)
Mo  0.0486  0.8750  0.7014 (multiplicity 12)
N  0.1250  0.6250  0.8750 (multiplicity 4)

Top 6 peaks for 15 to 90 degrees two-theta, in order of falling intensity:
40.59°, 2.223 Å, I 100.0, hkl 2 2 1; 42.89°, 2.109 Å, I 57.1, hkl 3 1 0; 45.10°, 2.010 Å, I 25.3, hkl 3 1 1; 72.25°, 1.308 Å, I 23.1, hkl 4 3 1; 77.01°, 1.238 Å, I 20.1, hkl 5 2 0; 58.75°, 1.572 Å, I 7.9, hkl 4 1 1